This entry pairs a crystal structure of AlZnH10O7F5 with its computed powder diffraction line list. Radiation: Cu Kα, 1.54184 Å. Structure: a structure optimized by DFT (GGA-PBE).
No peak broadening, texture or thermal motion is included.

Most intense lines, 10 to 90 degrees two-theta, in order of falling intensity:
2θ (°), Rel. int., hkl
19.51, 100, -1 1 1
18.13, 95, 1 -1 1
21.56, 64, 0 2 0
32.53, 54, 1 1 -3
20.98, 46, 0 0 2
23.82, 40, 1 1 1
36.85, 39, 2 0 2
19.05, 37, 1 1 -1
27.22, 27, 2 0 0
52.56, 27, 0 4 -4

Cell and atoms:
```
data_AlZnH10O7F5
_cell_length_a 6.696
_cell_length_b 8.695
_cell_length_c 8.856
_cell_angle_alpha 105.22
_cell_angle_beta 94.85
_cell_angle_gamma 99.07
_space_group_name_H-M_alt 'P -1'
_space_group_IT_number 2
loop_
_space_group_symop_operation_xyz
'x,y,z'
'-x,-y,-z'
loop_
_atom_site_label
_atom_site_fract_x
_atom_site_fract_y
_atom_site_fract_z
_atom_site_occupancy
Al1 0.000 0.000 0.000 1
Al2 0.000 0.500 0.500 1
Zn1 0.500 0.000 0.500 1
Zn2 0.500 0.500 0.000 1
H1 0.095 0.355 0.974 1
H2 0.103 0.440 0.836 1
H3 0.144 0.916 0.322 1
H4 0.166 0.751 0.367 1
H5 0.318 0.766 0.016 1
H6 0.322 0.516 0.274 1
H7 0.395 0.134 0.276 1
H8 0.398 0.747 0.618 1
H9 0.446 0.510 0.692 1
H10 0.454 0.193 0.022 1
O1 0.102 0.987 0.761 1
O2 0.182 0.431 0.932 1
O3 0.227 0.093 0.730 1
O4 0.229 0.869 0.385 1
O5 0.457 0.746 0.034 1
O6 0.458 0.523 0.237 1
O7 0.495 0.856 0.638 1
F1 0.065 0.812 0.000 1
F2 0.073 0.311 0.421 1
F3 0.075 0.570 0.322 1
F4 0.248 0.096 0.093 1
F5 0.269 0.585 0.600 1
```